Computed X-ray diffraction stick pattern
Compound: LiSb2P3O11
Radiation: Cu Kα (weighted mean of Kα1 and Kα2)
Structure: a crystal structure in the Materials Project, relaxed with GGA-PBE

Structure:
a b c (Å): 11.9124 9.4152 9.2552
angles (deg): 90.00 114.12 90.00
Space group C2 (No. 5)
Unique sites:
Li (0.2406, 0.0000, 0.1997)
Sb (0.1107, 0.4933, 0.3069)
Sb (0.1106, 0.9729, 0.7974)
P (0.0000, 0.6980, 0.5000)
P (0.0000, 0.7692, 0.0000)
P (0.1254, 0.1674, 0.4700)
P (0.1300, 0.2907, 0.9837)
O (0.0000, 0.1812, 0.5000)
O (0.0000, 0.2752, 0.0000)
O (0.0534, 0.7837, 0.6534)
O (0.0612, 0.6860, 0.1529)
O (0.0975, 0.0931, 0.3133)
O (0.1030, 0.8717, 0.9922)
O (0.1068, 0.5978, 0.5033)
O (0.1110, 0.3603, 0.8283)
O (0.1798, 0.3164, 0.4868)
O (0.1867, 0.1410, 0.0116)
O (0.2068, 0.3881, 0.1284)
O (0.2083, 0.0723, 0.6135)

Most intense lines, 2θ from 10° to 90°, by intensity:
2θ/deg  I_rel
18.3  100
28.4  68
32.7  56
24.3  54
14.0  41
28.1  34
36.5  30
20.7  25
38.2  25
33.0  22

***

Computed X-ray diffraction stick pattern
Compound: Li3Sb2P3O12
Radiation: Cu Kα (weighted mean of Kα1 and Kα2)
Structure: a crystal structure in the Materials Project, relaxed with GGA-PBE

Structure:
a b c (Å): 14.1915 9.3860 8.5418
angles (deg): 90.00 117.67 90.00
Space group C2 (No. 5)
Unique sites:
Li (0.0000, 0.0000, 0.0000)
Li (0.0000, 0.2742, 0.5000)
Li (0.1938, 0.7004, 0.8897)
Li (0.2450, 0.3944, 0.7355)
Sb (0.0905, 0.3902, 0.9054)
Sb (0.0978, 0.8845, 0.4048)
P (0.0000, 0.5574, 0.5000)
P (0.0000, 0.7238, 0.0000)
P (0.1620, 0.0561, 0.8437)
P (0.1715, 0.2204, 0.3417)
O (0.0608, 0.0204, 0.8546)
O (0.0621, 0.2641, 0.3236)
O (0.0645, 0.6376, 0.9297)
O (0.0692, 0.6431, 0.4424)
O (0.0787, 0.4515, 0.6529)
O (0.0832, 0.8241, 0.1480)
O (0.1621, 0.0045, 0.6762)
O (0.1821, 0.0534, 0.3491)
O (0.1821, 0.2244, 0.8590)
O (0.1944, 0.2673, 0.1896)
O (0.2420, 0.4928, 0.9804)
O (0.2456, 0.7921, 0.4794)

Most intense lines, 2θ from 10° to 90°, by intensity:
2θ/deg  I_rel
21.1  100
33.3  80
18.8  62
33.0  59
23.2  41
18.9  32
32.8  32
14.1  25
34.4  25
28.4  24

***

Computed X-ray diffraction stick pattern
Compound: Li5SbP4O14
Radiation: Cu Kα (weighted mean of Kα1 and Kα2)
Structure: a crystal structure in the Materials Project, relaxed with GGA-PBE

Structure:
a b c (Å): 7.2516 8.5768 9.8666
angles (deg): 77.45 76.88 68.81
Space group P-1 (No. 2)
Unique sites:
Li (0.0329, 0.4624, 0.1411)
Li (0.2475, 0.7365, 0.9006)
Li (0.3146, 0.2517, 0.5873)
Li (0.3378, 0.1845, 0.2766)
Li (0.4462, 0.4838, 0.3566)
Sb (0.1243, 0.8528, 0.2403)
P (0.1229, 0.6370, 0.5712)
P (0.1625, 0.1446, 0.9624)
P (0.3098, 0.9005, 0.5477)
P (0.4155, 0.3411, 0.9438)
O (0.0230, 0.2608, 0.8503)
O (0.0746, 0.3700, 0.3403)
O (0.0765, 0.2050, 0.1045)
O (0.1327, 0.6571, 0.4080)
O (0.1379, 0.8102, 0.6007)
O (0.2048, 0.9586, 0.9614)
O (0.2162, 0.0586, 0.6213)
O (0.2309, 0.4973, 0.9229)
O (0.3085, 0.4863, 0.6032)
O (0.3434, 0.9371, 0.3866)
O (0.3720, 0.1819, 0.9052)
O (0.3994, 0.6506, 0.1725)
O (0.4605, 0.3019, 0.0927)
O (0.4990, 0.7715, 0.6025)

Most intense lines, 2θ from 10° to 90°, by intensity:
2θ/deg  I_rel
22.3  100
29.9  76
14.3  65
13.5  43
21.7  43
13.3  43
29.2  39
11.2  37
15.6  34
20.3  34

***

Computed X-ray diffraction stick pattern
Compound: LiTi3SbP6O24
Radiation: Cu Kα (weighted mean of Kα1 and Kα2)
Structure: a crystal structure in the Materials Project, relaxed with GGA-PBE

Structure:
a b c (Å): 8.6299 8.6299 21.8718
angles (deg): 90.00 90.00 120.00
Space group R3 (No. 146, hexagonal axes)
Unique sites:
Li (0.0000, 0.0000, 0.0000)
Ti (0.0000, 0.0000, 0.1407)
Ti (0.0000, 0.0000, 0.3562)
Ti (0.0000, 0.0000, 0.6357)
Sb (0.0000, 0.0000, 0.8510)
P (0.0021, 0.2888, 0.7441)
P (0.0494, 0.6679, 0.9139)
O (0.0178, 0.8221, 0.1886)
O (0.0264, 0.1951, 0.4052)
O (0.0281, 0.1953, 0.6894)
O (0.0281, 0.8400, 0.9111)
O (0.1541, 0.4570, 0.4716)
O (0.1633, 0.6924, 0.2529)
O (0.1642, 0.6965, 0.9701)
O (0.1702, 0.4763, 0.7498)

Most intense lines, 2θ from 10° to 90°, by intensity:
2θ/deg  I_rel
24.0  100
20.1  68
28.9  51
14.4  50
20.6  42
32.1  40
53.0  22
36.1  18
31.9  18
12.5  16